No. 1
Li2VO2F: theoretical powder diffractogram (a wavelength of 1.5418 Å), based on a DFT-relaxed cell (GGA+U, the Materials Project).
Lines closer than 0.1° are merged.

abc: 2.951 5.160 7.913
angles: 77.32 79.38 73.48
Atoms (fractional coordinates):
Li: 0.000 0.000 0.000
Li: 0.000 0.500 0.500
Li: 0.347 0.477 0.826
Li: 0.653 0.523 0.174
V: 0.343 0.995 0.333
V: 0.657 0.005 0.667
O: 0.010 0.223 0.751
O: 0.313 0.769 0.586
O: 0.687 0.231 0.414
O: 0.990 0.777 0.249
F: 0.331 0.257 0.083
F: 0.669 0.743 0.917

Main lines, sorted by position (15° ≤ 2θ ≤ 90°):
hkl, 2θ (°), d [Å], I (rel.)
0 1 0, 18.2, 4.868, 100
0 1 -1, 23.3, 3.819, 25
1 1 2, 35.5, 2.527, 26
0 1 -3, 42.8, 2.111, 50
-1 1 1, 43.0, 2.103, 48
1 2 2, 43.1, 2.098, 48
1 0 -4, 62.1, 1.494, 26
1 3 -1, 62.5, 1.486, 26

No. 2
Li2VO2F: theoretical powder diffractogram (a wavelength of 1.5418 Å), based on a DFT-relaxed cell (GGA+U, the Materials Project).
Lines closer than 0.1° are merged.

abc: 3.030 7.917 10.384
angles: 72.15 89.95 79.11
Atoms (fractional coordinates):
Li: 0.000 0.000 0.000
Li: 0.006 0.985 0.477
Li: 0.333 0.308 0.485
Li: 0.366 0.266 0.021
Li: 0.488 0.010 0.217
Li: 0.496 0.003 0.718
Li: 0.854 0.295 0.744
Li: 0.865 0.276 0.240
V: 0.165 0.645 0.241
V: 0.171 0.642 0.732
V: 0.681 0.643 0.489
V: 0.689 0.620 0.003
O: 0.104 0.788 0.375
O: 0.242 0.489 0.112
O: 0.263 0.487 0.610
O: 0.589 0.785 0.116
O: 0.607 0.800 0.618
O: 0.727 0.515 0.851
O: 0.749 0.492 0.360
O: 0.924 0.142 0.116
F: 0.092 0.803 0.869
F: 0.424 0.142 0.375
F: 0.430 0.139 0.851
F: 0.929 0.142 0.614

Main lines, sorted by position (15° ≤ 2θ ≤ 90°):
hkl, 2θ (°), d [Å], I (rel.)
0 2 0, 24.1, 3.693, 100
1 0 -2, 34.3, 2.616, 51
1 1 -2, 36.3, 2.475, 34
1 -1 2, 42.0, 2.150, 86
1 2 -2, 42.2, 2.144, 77
0 3 4, 43.1, 2.101, 72
2 1 0, 61.2, 1.515, 30
-1 1 6, 61.7, 1.502, 58

No. 3
Li5V6O5F19: theoretical powder diffractogram (a wavelength of 1.5418 Å), based on a DFT-relaxed cell (GGA+U, the Materials Project).
Lines closer than 0.1° are merged.

abc: 5.248 5.409 16.117
angles: 99.62 90.05 90.73
Atoms (fractional coordinates):
Li: 0.000 0.000 0.000
Li: 0.089 0.268 0.663
Li: 0.259 0.372 0.261
Li: 0.489 0.750 0.648
Li: 0.599 0.489 0.984
V: 0.257 0.815 0.154
V: 0.310 0.470 0.484
V: 0.316 0.146 0.824
V: 0.766 0.261 0.158
V: 0.779 0.948 0.481
V: 0.819 0.601 0.816
O: 0.062 0.048 0.128
O: 0.064 0.393 0.795
O: 0.554 0.033 0.177
O: 0.558 0.684 0.509
O: 0.565 0.356 0.844
F: 0.000 0.236 0.469
F: 0.011 0.902 0.799
F: 0.067 0.726 0.461
F: 0.205 0.180 0.936
F: 0.206 0.835 0.268
F: 0.212 0.518 0.603
F: 0.353 0.058 0.701
F: 0.368 0.709 0.040
F: 0.369 0.373 0.371
F: 0.479 0.511 0.179
F: 0.490 0.171 0.507
F: 0.511 0.844 0.834
F: 0.703 0.897 0.374
F: 0.708 0.558 0.701
F: 0.715 0.225 0.036
F: 0.858 0.696 0.936
F: 0.864 0.024 0.594
F: 0.903 0.360 0.267
F: 0.984 0.554 0.133

Main lines, sorted by position (15° ≤ 2θ ≤ 90°):
hkl, 2θ (°), d [Å], I (rel.)
0 0 3, 16.7, 5.297, 100
-1 1 1, 24.9, 3.569, 88
1 1 -2, 25.2, 3.529, 86
0 2 -1, 33.1, 2.704, 13
0 0 6, 33.8, 2.648, 19
2 -2 1, 48.0, 1.895, 16
2 2 -1, 48.7, 1.871, 14
0 0 9, 51.8, 1.765, 15

No. 4
Li7VO5F: theoretical powder diffractogram (a wavelength of 1.5418 Å), based on a DFT-relaxed cell (GGA+U, the Materials Project).
Lines closer than 0.1° are merged.

abc: 5.262 5.360 5.824
angles: 90.92 116.17 116.72
Atoms (fractional coordinates):
Li: 0.000 0.000 0.000
Li: 0.050 0.249 0.630
Li: 0.104 0.407 0.248
Li: 0.251 0.693 0.980
Li: 0.585 0.363 0.991
Li: 0.642 0.523 0.599
Li: 0.786 0.814 0.277
V: 0.416 0.942 0.628
O: 0.205 0.974 0.809
O: 0.210 0.140 0.388
O: 0.478 0.787 0.383
O: 0.542 0.682 0.870
O: 0.840 0.287 0.851
F: 0.871 0.500 0.367

Main lines, sorted by position (15° ≤ 2θ ≤ 90°):
hkl, 2θ (°), d [Å], I (rel.)
0 0 1, 17.6, 5.036, 100
0 1 0, 19.2, 4.614, 56
1 0 -1, 20.0, 4.432, 87
1 -1 0, 20.5, 4.335, 52
0 1 -1, 22.4, 3.972, 65
1 1 0, 36.1, 2.486, 87
1 -2 1, 38.4, 2.342, 75
-2 1 2, 39.1, 2.306, 62

No. 5
Li3VOF6: theoretical powder diffractogram (a wavelength of 1.5418 Å), based on a DFT-relaxed cell (GGA+U, the Materials Project).
Lines closer than 0.1° are merged.

abc: 5.204 5.216 16.127
angles: 90.00 90.00 90.00
Atoms (fractional coordinates):
Li: 0.201 0.008 0.000
Li: 0.233 0.509 0.124
Li: 0.235 0.031 0.745
Li: 0.265 0.969 0.245
Li: 0.267 0.491 0.624
Li: 0.299 0.992 0.500
Li: 0.701 0.492 0.000
Li: 0.733 0.991 0.876
Li: 0.735 0.469 0.255
Li: 0.765 0.531 0.755
Li: 0.767 0.009 0.376
Li: 0.799 0.508 0.500
V: 0.245 0.496 0.376
V: 0.255 0.504 0.876
V: 0.745 0.004 0.624
V: 0.755 0.996 0.124
O: 0.014 0.160 0.609
O: 0.486 0.840 0.109
O: 0.514 0.340 0.391
O: 0.986 0.660 0.891
F: 0.043 0.238 0.443
F: 0.081 0.258 0.301
F: 0.096 0.169 0.138
F: 0.125 0.157 0.877
F: 0.136 0.414 0.759
F: 0.213 0.621 0.491
F: 0.287 0.379 0.991
F: 0.364 0.586 0.259
F: 0.375 0.843 0.377
F: 0.404 0.831 0.638
F: 0.419 0.742 0.801
F: 0.457 0.762 0.943
F: 0.543 0.262 0.557
F: 0.581 0.242 0.699
F: 0.596 0.331 0.862
F: 0.625 0.343 0.123
F: 0.636 0.086 0.241
F: 0.713 0.879 0.509
F: 0.787 0.121 0.009
F: 0.864 0.914 0.741
F: 0.875 0.657 0.623
F: 0.904 0.669 0.362
F: 0.919 0.758 0.199
F: 0.957 0.738 0.057

Main lines, sorted by position (15° ≤ 2θ ≤ 90°):
hkl, 2θ (°), d [Å], I (rel.)
1 0 2, 20.3, 4.376, 100
0 0 4, 22.0, 4.032, 17
1 1 0, 24.2, 3.684, 33
2 1 0, 38.7, 2.329, 14
2 1 2, 40.3, 2.238, 17
0 1 7, 42.9, 2.107, 14
0 0 8, 44.9, 2.017, 18
1 3 4, 60.7, 1.526, 13

No. 6
Li3V2O4F2: theoretical powder diffractogram (a wavelength of 1.5418 Å), based on a DFT-relaxed cell (GGA+U, the Materials Project).
Lines closer than 0.1° are merged.

abc: 5.937 6.032 15.075
angles: 80.25 85.17 60.75
Atoms (fractional coordinates):
Li: 0.000 0.000 0.000
Li: 0.002 0.260 0.495
Li: 0.172 0.238 0.852
Li: 0.198 0.733 0.869
Li: 0.343 0.292 0.113
Li: 0.344 0.761 0.120
Li: 0.509 0.767 0.490
Li: 0.539 0.963 0.991
Li: 0.672 0.257 0.871
Li: 0.817 0.289 0.123
Li: 0.959 0.544 0.989
Li: 0.995 0.770 0.492
V: 0.162 0.010 0.322
V: 0.173 0.506 0.327
V: 0.339 0.011 0.656
V: 0.343 0.511 0.650
V: 0.661 0.011 0.325
V: 0.672 0.505 0.329
V: 0.831 0.016 0.662
V: 0.834 0.516 0.666
O: 0.002 0.889 0.259
O: 0.005 0.151 0.728
O: 0.005 0.365 0.262
O: 0.013 0.656 0.722
O: 0.149 0.386 0.587
O: 0.158 0.891 0.581
O: 0.333 0.125 0.399
O: 0.333 0.656 0.399
O: 0.506 0.361 0.260
O: 0.508 0.881 0.262
O: 0.519 0.635 0.724
O: 0.524 0.141 0.722
O: 0.684 0.864 0.587
O: 0.690 0.375 0.586
O: 0.836 0.652 0.403
O: 0.842 0.129 0.398
F: 0.164 0.637 0.071
F: 0.169 0.124 0.082
F: 0.321 0.912 0.915
F: 0.332 0.383 0.901
F: 0.672 0.131 0.070
F: 0.673 0.635 0.075
F: 0.850 0.893 0.914
F: 0.870 0.363 0.915

Main lines, sorted by position (15° ≤ 2θ ≤ 90°):
hkl, 2θ (°), d [Å], I (rel.)
0 0 3, 17.9, 4.952, 100
0 0 4, 24.0, 3.714, 14
0 0 5, 30.1, 2.971, 11
2 0 -1, 35.2, 2.552, 18
0 2 -3, 41.5, 2.176, 35
2 0 -4, 42.6, 2.123, 34
2 2 5, 43.2, 2.094, 30
2 4 2, 61.5, 1.507, 11